Record 1
Structure and simulated X-ray powder pattern of TbSi2Pt2 (a PBE-relaxed structure; Cu Ka).

Lattice parameters (Å, degrees): 5.780 5.780 5.780 137.46 137.46 61.73
Atoms (fractional coordinates):
Tb (0.000, 0.000, 0.000)
Si (0.382, 0.382, 0.000)
Si (0.618, 0.618, 0.000)
Pt (0.250, 0.750, 0.500)
Pt (0.750, 0.250, 0.500)

Top 10 peaks for 15 to 90 degrees two-theta, in order of falling intensity:
35.26 deg, intensity 100.0
43.14 deg, intensity 34.3
73.99 deg, intensity 23.7
17.88 deg, intensity 21.2
57.56 deg, intensity 19.7
36.21 deg, intensity 18.3
64.52 deg, intensity 16.3
34.54 deg, intensity 13.1
23.02 deg, intensity 12.7
62.66 deg, intensity 11.4

=====

Record 2
Structure and simulated X-ray powder pattern of Li3BiB2O6 (a PBE-relaxed structure; Cu Ka).

Lattice parameters (Å, degrees): 8.985 6.543 10.294 90.00 117.28 90.00
Atoms (fractional coordinates):
Li (0.108, 0.244, 0.479)
Li (0.108, 0.256, 0.979)
Li (0.206, 0.564, 0.168)
Li (0.206, 0.936, 0.668)
Li (0.341, 0.717, 0.545)
Li (0.341, 0.783, 0.045)
Li (0.659, 0.217, 0.955)
Li (0.659, 0.283, 0.455)
Li (0.794, 0.064, 0.332)
Li (0.794, 0.436, 0.832)
Li (0.892, 0.744, 0.021)
Li (0.892, 0.756, 0.521)
Bi (0.311, 0.029, 0.300)
Bi (0.311, 0.471, 0.800)
Bi (0.689, 0.529, 0.200)
Bi (0.689, 0.971, 0.700)
B (0.039, 0.664, 0.825)
B (0.039, 0.836, 0.325)
B (0.451, 0.169, 0.110)
B (0.451, 0.331, 0.610)
B (0.549, 0.669, 0.390)
B (0.549, 0.831, 0.890)
B (0.961, 0.164, 0.675)
B (0.961, 0.336, 0.175)
O (0.080, 0.712, 0.713)
O (0.080, 0.788, 0.213)
O (0.115, 0.205, 0.681)
O (0.115, 0.295, 0.181)
O (0.162, 0.565, 0.948)
O (0.162, 0.935, 0.448)
O (0.299, 0.070, 0.060)
O (0.299, 0.430, 0.560)
O (0.437, 0.673, 0.241)
O (0.437, 0.827, 0.741)
O (0.495, 0.224, 0.516)
O (0.495, 0.276, 0.016)
O (0.505, 0.724, 0.984)
O (0.505, 0.776, 0.484)
O (0.563, 0.173, 0.259)
O (0.563, 0.327, 0.759)
O (0.701, 0.570, 0.440)
O (0.701, 0.930, 0.940)
O (0.838, 0.065, 0.552)
O (0.838, 0.435, 0.052)
O (0.885, 0.705, 0.819)
O (0.885, 0.795, 0.319)
O (0.920, 0.212, 0.787)
O (0.920, 0.288, 0.287)

Top 10 peaks for 15 to 90 degrees two-theta, in order of falling intensity:
17.39 deg, intensity 100.0
22.41 deg, intensity 47.5
19.40 deg, intensity 28.2
35.18 deg, intensity 25.1
21.83 deg, intensity 23.4
35.48 deg, intensity 22.2
29.47 deg, intensity 21.8
35.81 deg, intensity 21.5
31.39 deg, intensity 19.0
32.39 deg, intensity 17.9

=====

Record 3
Structure and simulated X-ray powder pattern of SrSnP (a PBE-relaxed structure; Cu Ka).

Lattice parameters (Å, degrees): 4.395 4.395 9.030 90.00 90.00 90.00
Atoms (fractional coordinates):
Sr (0.250, 0.250, 0.167)
Sr (0.750, 0.750, 0.833)
Sn (0.250, 0.250, 0.553)
Sn (0.750, 0.750, 0.447)
P (0.250, 0.250, 0.827)
P (0.750, 0.750, 0.173)

Top 10 peaks for 15 to 90 degrees two-theta, in order of falling intensity:
28.73 deg, intensity 100.0
28.34 deg, intensity 55.6
41.78 deg, intensity 42.4
41.08 deg, intensity 37.8
29.68 deg, intensity 27.3
50.66 deg, intensity 23.2
51.49 deg, intensity 22.9
36.17 deg, intensity 18.2
67.38 deg, intensity 17.7
70.87 deg, intensity 17.7

=====

Record 4
Structure and simulated X-ray powder pattern of Nd6Al3Fe11 (a PBE-relaxed structure; Cu Ka).

Lattice parameters (Å, degrees): 12.930 12.930 12.930 143.44 143.44 52.67
Atoms (fractional coordinates):
Nd (0.000, 0.000, 0.000)
Nd (0.083, 0.583, 0.835)
Nd (0.129, 0.629, 0.171)
Nd (0.214, 0.214, 0.000)
Nd (0.248, 0.083, 0.500)
Nd (0.458, 0.958, 0.829)
Nd (0.500, 0.500, 0.000)
Nd (0.583, 0.748, 0.500)
Nd (0.629, 0.458, 0.500)
Nd (0.714, 0.714, 0.000)
Nd (0.748, 0.248, 0.165)
Nd (0.958, 0.129, 0.500)
Al (0.132, 0.394, 0.500)
Al (0.357, 0.357, 0.000)
Al (0.394, 0.894, 0.262)
Al (0.632, 0.132, 0.738)
Al (0.857, 0.857, 0.000)
Al (0.894, 0.632, 0.500)
Fe (0.040, 0.898, 0.722)
Fe (0.088, 0.816, 0.500)
Fe (0.108, 0.608, 0.500)
Fe (0.176, 0.317, 0.278)
Fe (0.226, 0.726, 0.852)
Fe (0.316, 0.588, 0.500)
Fe (0.317, 0.040, 0.142)
Fe (0.346, 0.846, 0.858)
Fe (0.374, 0.226, 0.500)
Fe (0.398, 0.540, 0.722)
Fe (0.487, 0.346, 0.500)
Fe (0.540, 0.817, 0.142)
Fe (0.588, 0.088, 0.272)
Fe (0.608, 0.108, 0.500)
Fe (0.676, 0.398, 0.858)
Fe (0.726, 0.874, 0.500)
Fe (0.816, 0.316, 0.728)
Fe (0.817, 0.676, 0.278)
Fe (0.846, 0.987, 0.500)
Fe (0.874, 0.374, 0.148)
Fe (0.898, 0.176, 0.858)
Fe (0.987, 0.487, 0.142)

Top 10 peaks for 15 to 90 degrees two-theta, in order of falling intensity:
34.97 deg, intensity 100.0
27.16 deg, intensity 95.8
31.31 deg, intensity 89.3
38.17 deg, intensity 66.1
46.31 deg, intensity 47.3
38.37 deg, intensity 45.0
43.08 deg, intensity 38.8
36.75 deg, intensity 38.1
67.31 deg, intensity 36.8
57.77 deg, intensity 35.3

=====

Record 5
Structure and simulated X-ray powder pattern of Sr3CoN3 (a PBE-relaxed structure; Cu Ka).

Lattice parameters (Å, degrees): 7.592 7.592 5.278 90.00 90.00 120.00
Atoms (fractional coordinates):
Sr (0.084, 0.362, 0.250)
Sr (0.278, 0.916, 0.250)
Sr (0.362, 0.278, 0.750)
Sr (0.638, 0.722, 0.250)
Sr (0.722, 0.084, 0.750)
Sr (0.916, 0.638, 0.750)
Co (0.333, 0.667, 0.750)
Co (0.667, 0.333, 0.250)
N (0.114, 0.423, 0.750)
N (0.309, 0.886, 0.750)
N (0.423, 0.309, 0.250)
N (0.577, 0.691, 0.750)
N (0.691, 0.114, 0.250)
N (0.886, 0.577, 0.250)

Top 10 peaks for 15 to 90 degrees two-theta, in order of falling intensity:
28.97 deg, intensity 100.0
32.07 deg, intensity 92.2
33.97 deg, intensity 60.9
36.14 deg, intensity 57.1
50.44 deg, intensity 41.3
41.19 deg, intensity 26.7
64.22 deg, intensity 25.4
54.42 deg, intensity 22.8
61.84 deg, intensity 19.0
50.01 deg, intensity 18.0